# K3Rb3CrF8
Simulated powder diffractogram, Cu Kα (λ = 1.5418 Å). Input: a crystal structure in Alexandria, relaxed with GGA+U.
Lines closer than 0.1° are merged.

Structure:
```
data_K3Rb3CrF8
_chemical_formula_sum 'K6 Rb6 Cr2 F16'
_cell_length_a 13.3187
_cell_length_b 7.6138
_cell_length_c 7.7824
_cell_angle_alpha 90.00
_cell_angle_beta 124.40
_cell_angle_gamma 90.00
_space_group_name_H-M_alt 'C 1 2/m 1'
_space_group_IT_number 12
loop_
_space_group_symop_operation_xyz
'x,y,z'
'-x,-y,-z'
'-x,y,-z'
'x,-y,z'
'x+1/2,y+1/2,z'
'-x+1/2,-y+1/2,-z'
'-x+1/2,y+1/2,-z'
'x+1/2,-y+1/2,z'
loop_
_atom_site_label
_atom_site_type_symbol
_atom_site_fract_x
_atom_site_fract_y
_atom_site_fract_z
_atom_site_occupancy
K1 K 0.0000 0.0000 0.0000 1
K2 K 0.2500 0.2500 0.0000 1
Rb1 Rb 0.0000 0.5000 0.5000 1
Rb2 Rb 0.2500 0.2500 0.5000 1
Cr1 Cr 0.0000 0.5000 0.0000 1
F1 F 0.0035 0.3067 0.8167 1
F2 F 0.2287 0.5000 0.2191 1
F3 F 0.2444 0.0000 0.2346 1
```

Principal peaks in the range 2θ = 10–90°, sorted by position:
2θ = 14.13°, intensity 66
2θ = 27.78°, intensity 24
2θ = 28.42°, intensity 21
2θ = 28.52°, intensity 41
2θ = 32.59°, intensity 58
2θ = 32.92°, intensity 100
2θ = 46.59°, intensity 33
2θ = 47.41°, intensity 33